This entry pairs a crystal structure of ErCo3Ge2 with its computed PXRD pattern. Radiation: Cu Kα (weighted mean of Kα1 and Kα2). Structure: a cell relaxed with PBE.
Intensities are scaled so that the largest is 100.

Principal peaks in the range 10 to 90 degrees two-theta, by intensity:
d/Å, 2θ (°), Rel. int.
2.136, 42.3, 100
2.623, 34.2, 43
2.861, 31.3, 40
2.271, 39.7, 34
1.400, 66.8, 25
1.311, 72.0, 18
1.842, 49.5, 16
1.507, 61.5, 13
1.556, 59.4, 13
1.431, 65.2, 12

Structure:
Cell: 5.2450 5.2450 3.6840 Å, 90.00 90.00 120.00°
Space group P6mm (No. 183)
Asymmetric unit:
Er (0.0000, 0.0000, 0.0000) [1 per cell]
Co (0.0000, 0.5000, 0.5707) [3 per cell]
Ge (0.3333, 0.6667, 0.0743) [2 per cell]

***

This entry pairs a crystal structure of Er2Co3Ge5 with its computed PXRD pattern. Radiation: Cu Kα (weighted mean of Kα1 and Kα2). Structure: a cell relaxed with PBE.
Intensities are scaled so that the largest is 100.

Principal peaks in the range 10 to 90 degrees two-theta, by intensity:
d/Å, 2θ (°), Rel. int.
2.486, 36.1, 100
2.505, 35.8, 83
2.043, 44.3, 74
2.410, 37.3, 40
2.549, 35.2, 36
2.399, 37.5, 19
2.844, 31.5, 16
1.594, 57.8, 16
1.422, 65.7, 16
2.937, 30.4, 14

Structure:
Cell: 10.993 11.746 5.691 Å, 90.00 119.19 90.00°
Space group C2/c (No. 15)
Asymmetric unit:
Er (0.232, 0.141, 0.232) [8 per cell]
Co (0.000, 0.497, 0.750) [4 per cell]
Co (0.097, 0.141, 0.620) [8 per cell]
Ge (0.000, 0.009, 0.250) [4 per cell]
Ge (0.000, 0.274, 0.250) [4 per cell]
Ge (0.000, 0.287, 0.750) [4 per cell]
Ge (0.171, 0.409, 0.174) [8 per cell]

***

This entry pairs a crystal structure of ErCo4Ge2 with its computed PXRD pattern. Radiation: Cu Kα (weighted mean of Kα1 and Kα2). Structure: a cell relaxed with PBE.
Intensities are scaled so that the largest is 100.

Principal peaks in the range 10 to 90 degrees two-theta, by intensity:
d/Å, 2θ (°), Rel. int.
2.434, 36.9, 100
1.944, 46.7, 47
2.283, 39.5, 39
2.553, 35.2, 30
1.852, 49.2, 26
2.102, 43.0, 24
1.345, 69.9, 20
3.296, 27.1, 19
1.438, 64.8, 18
1.583, 58.3, 16

Structure:
Cell: 7.220 7.220 3.705 Å, 90.00 90.00 90.00°
Space group P4_2/mnm (No. 136)
Asymmetric unit:
Er (0.000, 0.000, 0.000) [2 per cell]
Co (0.082, 0.354, 0.500) [8 per cell]
Ge (0.221, 0.779, 0.500) [4 per cell]

***

This entry pairs a crystal structure of Er7CoI12 with its computed PXRD pattern. Radiation: Cu Kα (weighted mean of Kα1 and Kα2). Structure: a cell relaxed with PBE.
Intensities are scaled so that the largest is 100.

Principal peaks in the range 10 to 90 degrees two-theta, by intensity:
d/Å, 2θ (°), Rel. int.
3.073, 29.1, 100
2.152, 42.0, 34
7.760, 11.4, 33
2.194, 41.1, 33
1.763, 51.9, 16
8.447, 10.5, 13
1.364, 68.8, 12
3.526, 25.3, 11
1.385, 67.6, 11
1.537, 60.2, 11

Structure:
Cell: 15.5203 15.5203 10.8587 Å, 90.00 90.00 120.00°
Space group R-3 (No. 148, hexagonal axes)
Asymmetric unit:
Er (0.0000, 0.0000, 0.0000) [3 per cell]
Er (0.0419, 0.1528, 0.3677) [18 per cell]
Co (0.0000, 0.0000, 0.5000) [3 per cell]
I (0.0195, 0.5865, 0.1572) [18 per cell]
I (0.0497, 0.1759, 0.8372) [18 per cell]

***

This entry pairs a crystal structure of ErInCo4 with its computed PXRD pattern. Radiation: Cu Kα (weighted mean of Kα1 and Kα2). Structure: a cell relaxed with PBE.
Intensities are scaled so that the largest is 100.

Principal peaks in the range 10 to 90 degrees two-theta, by intensity:
d/Å, 2θ (°), Rel. int.
2.119, 42.7, 100
2.485, 36.2, 60
1.353, 69.5, 30
1.242, 76.7, 22
1.435, 65.0, 21
2.029, 44.7, 17
4.058, 21.9, 11
1.111, 87.9, 10
1.612, 57.1, 3
1.188, 80.9, 3

Structure:
Cell: 7.028 7.028 7.028 Å, 90.00 90.00 90.00°
Space group F-43m (No. 216)
Asymmetric unit:
Er (0.000, 0.000, 0.000) [4 per cell]
In (0.250, 0.250, 0.750) [4 per cell]
Co (0.125, 0.125, 0.375) [16 per cell]

***

This entry pairs a crystal structure of Er6InCo2 with its computed PXRD pattern. Radiation: Cu Kα (weighted mean of Kα1 and Kα2). Structure: a cell relaxed with PBE.
Intensities are scaled so that the largest is 100.

Principal peaks in the range 10 to 90 degrees two-theta, by intensity:
d/Å, 2θ (°), Rel. int.
2.754, 32.5, 100
2.560, 35.1, 34
2.585, 34.7, 28
2.527, 35.5, 26
1.524, 60.8, 20
1.618, 56.9, 19
2.943, 30.4, 19
2.322, 38.8, 17
3.109, 28.7, 16
2.470, 36.4, 15

Structure:
Cell: 9.288 9.484 9.880 Å, 90.00 90.00 90.00°
Space group Immm (No. 71)
Asymmetric unit:
Er (0.000, 0.211, 0.232) [8 per cell]
Er (0.197, 0.500, 0.185) [8 per cell]
Er (0.212, 0.313, 0.500) [8 per cell]
In (0.000, 0.000, 0.000) [2 per cell]
In (0.000, 0.000, 0.500) [2 per cell]
Co (0.000, 0.376, 0.000) [4 per cell]
Co (0.000, 0.500, 0.387) [4 per cell]

***

This entry pairs a crystal structure of Er2CoIr with its computed PXRD pattern. Radiation: Cu Kα (weighted mean of Kα1 and Kα2). Structure: a cell relaxed with PBE.
Intensities are scaled so that the largest is 100.

Principal peaks in the range 10 to 90 degrees two-theta, by intensity:
d/Å, 2θ (°), Rel. int.
2.380, 37.8, 100
1.374, 68.3, 35
1.683, 54.5, 17
1.190, 80.8, 11
3.886, 22.9, 11
2.029, 44.7, 6
1.544, 59.9, 3
3.365, 26.5, 2
1.138, 85.3, 2
1.295, 73.0, 2

Structure:
Cell: 6.731 6.731 6.731 Å, 90.00 90.00 90.00°
Space group Fm-3m (No. 225)
Asymmetric unit:
Er (0.250, 0.250, 0.250) [8 per cell]
Co (0.000, 0.000, 0.000) [4 per cell]
Ir (0.000, 0.000, 0.500) [4 per cell]

***

This entry pairs a crystal structure of ErCo10Mo2 with its computed PXRD pattern. Radiation: Cu Kα (weighted mean of Kα1 and Kα2). Structure: a cell relaxed with PBE.
Intensities are scaled so that the largest is 100.

Principal peaks in the range 10 to 90 degrees two-theta, by intensity:
d/Å, 2θ (°), Rel. int.
2.086, 43.4, 100
2.041, 44.4, 66
2.402, 37.4, 63
2.099, 43.1, 28
1.836, 49.7, 20
1.294, 73.1, 20
2.104, 43.0, 19
2.334, 38.6, 19
2.928, 30.5, 16
1.879, 48.4, 14

Structure:
Cell: 4.669 8.395 8.415 Å, 90.00 90.00 90.00°
Space group Immm (No. 71)
Asymmetric unit:
Er (0.000, 0.000, 0.000) [2 per cell]
Co (0.000, 0.290, 0.500) [4 per cell]
Co (0.000, 0.359, 0.000) [4 per cell]
Co (0.000, 0.500, 0.282) [4 per cell]
Co (0.250, 0.250, 0.250) [8 per cell]
Mo (0.000, 0.000, 0.358) [4 per cell]

***

This entry pairs a crystal structure of ErCo3Ni2 with its computed PXRD pattern. Radiation: Cu Kα (weighted mean of Kα1 and Kα2). Structure: a cell relaxed with PBE.
Intensities are scaled so that the largest is 100.

Principal peaks in the range 10 to 90 degrees two-theta, by intensity:
d/Å, 2θ (°), Rel. int.
2.066, 43.8, 100
2.896, 30.9, 54
2.406, 37.4, 34
2.084, 43.4, 33
2.014, 45.0, 28
1.313, 71.9, 22
1.448, 64.3, 20
1.544, 59.9, 17
1.172, 82.2, 15
1.203, 79.7, 14

Structure:
Cell: 4.8129 4.8129 4.0273 Å, 90.00 90.00 120.00°
Space group P6/mmm (No. 191)
Asymmetric unit:
Er (0.0000, 0.0000, 0.0000) [1 per cell]
Co (0.0000, 0.5000, 0.5000) [3 per cell]
Ni (0.3333, 0.6667, 0.0000) [2 per cell]

***

This entry pairs a crystal structure of Er2Co12P7 with its computed PXRD pattern. Radiation: Cu Kα (weighted mean of Kα1 and Kα2). Structure: a cell relaxed with PBE.
Intensities are scaled so that the largest is 100.

Principal peaks in the range 10 to 90 degrees two-theta, by intensity:
d/Å, 2θ (°), Rel. int.
2.273, 39.7, 100
1.788, 51.1, 19
1.699, 54.0, 17
3.250, 27.4, 12
1.232, 77.5, 12
2.248, 40.1, 11
2.943, 30.4, 10
2.596, 34.6, 10
1.105, 88.5, 9
1.598, 57.7, 9

Structure:
Cell: 8.9916 8.9916 3.5767 Å, 90.00 90.00 120.00°
Space group P-6 (No. 174)
Asymmetric unit:
Er (0.0000, 0.0000, 0.0000) [1 per cell]
Er (0.3333, 0.6667, 0.5000) [1 per cell]
Co (0.0494, 0.7689, 0.5000) [3 per cell]
Co (0.1014, 0.3936, 0.0000) [3 per cell]
Co (0.3936, 0.2142, 0.0000) [3 per cell]
Co (0.5350, 0.0992, 0.5000) [3 per cell]
P (0.0737, 0.6270, 0.0000) [3 per cell]
P (0.2635, 0.0422, 0.5000) [3 per cell]
P (0.6667, 0.3333, 0.0000) [1 per cell]

***

This entry pairs a crystal structure of ErCo3P2 with its computed PXRD pattern. Radiation: Cu Kα (weighted mean of Kα1 and Kα2). Structure: a cell relaxed with PBE.
Intensities are scaled so that the largest is 100.

Principal peaks in the range 10 to 90 degrees two-theta, by intensity:
d/Å, 2θ (°), Rel. int.
2.337, 38.5, 100
1.751, 52.3, 21
1.834, 49.7, 19
1.266, 75.0, 14
2.204, 41.0, 14
3.034, 29.4, 12
2.283, 39.5, 10
1.134, 85.7, 10
2.917, 30.6, 10
2.412, 37.3, 9

Structure:
Cell: 3.667 10.495 12.144 Å, 90.00 90.00 90.00°
Space group Pmmn (No. 59, origin choice 2)
Asymmetric unit:
Er (0.250, 0.067, 0.206) [4 per cell]
Er (0.250, 0.250, 0.478) [2 per cell]
Co (0.250, 0.129, 0.709) [4 per cell]
Co (0.250, 0.250, 0.014) [2 per cell]
Co (0.250, 0.547, 0.431) [4 per cell]
Co (0.250, 0.583, 0.994) [4 per cell]
Co (0.250, 0.750, 0.158) [2 per cell]
Co (0.250, 0.750, 0.703) [2 per cell]
P (0.250, 0.097, 0.893) [4 per cell]
P (0.250, 0.562, 0.616) [4 per cell]
P (0.250, 0.750, 0.344) [2 per cell]
P (0.250, 0.750, 0.881) [2 per cell]

***

This entry pairs a crystal structure of ErCoRu with its computed PXRD pattern. Radiation: Cu Kα (weighted mean of Kα1 and Kα2). Structure: a cell relaxed with PBE.
Intensities are scaled so that the largest is 100.

Principal peaks in the range 10 to 90 degrees two-theta, by intensity:
d/Å, 2θ (°), Rel. int.
2.196, 41.1, 100
2.592, 34.6, 55
2.222, 40.6, 52
2.111, 42.8, 30
2.571, 34.9, 28
1.296, 73.0, 24
1.400, 66.8, 23
1.488, 62.4, 20
1.421, 65.7, 12
1.407, 66.4, 12

Structure:
Cell: 5.141 5.142 7.393 Å, 90.00 90.00 90.00°
Space group Imma (No. 74)
Asymmetric unit:
Er (0.000, 0.250, 0.125) [4 per cell]
Co (0.250, 0.250, 0.750) [4 per cell]
Ru (0.000, 0.000, 0.500) [4 per cell]

***

What did the tenth record say?
This entry pairs a crystal structure of Er2Co12P7 with its computed PXRD pattern. Radiation: Cu Kα (weighted mean of Kα1 and Kα2). Structure: a cell relaxed with PBE.
Intensities are scaled so that the largest is 100.

Principal peaks in the range 10 to 90 degrees two-theta, by intensity:
d/Å, 2θ (°), Rel. int.
2.273, 39.7, 100
1.788, 51.1, 19
1.699, 54.0, 17
3.250, 27.4, 12
1.232, 77.5, 12
2.248, 40.1, 11
2.943, 30.4, 10
2.596, 34.6, 10
1.105, 88.5, 9
1.598, 57.7, 9

Structure:
Cell: 8.9916 8.9916 3.5767 Å, 90.00 90.00 120.00°
Space group P-6 (No. 174)
Asymmetric unit:
Er (0.0000, 0.0000, 0.0000) [1 per cell]
Er (0.3333, 0.6667, 0.5000) [1 per cell]
Co (0.0494, 0.7689, 0.5000) [3 per cell]
Co (0.1014, 0.3936, 0.0000) [3 per cell]
Co (0.3936, 0.2142, 0.0000) [3 per cell]
Co (0.5350, 0.0992, 0.5000) [3 per cell]
P (0.0737, 0.6270, 0.0000) [3 per cell]
P (0.2635, 0.0422, 0.5000) [3 per cell]
P (0.6667, 0.3333, 0.0000) [1 per cell]